No. 1
Theoretical X-ray diffraction stick pattern
Compound: V6F13
Radiation: a wavelength of 1.5418 Å
Structure: the PBE+U geometry in Alexandria

Principal peaks in the range 2θ from 10° to 80°, in order of rising 2θ:
d_spacing  Position (°2θ)  intensity
7.014  12.6  76
6.532  13.6  63
5.144  17.2  44
4.778  18.6  100
4.741  18.7  43
3.410  26.1  47
3.321  26.8  51
2.918  30.6  42
2.758  32.5  34
1.837  49.6  36

Structural model:
```
V6F13
1.0
8.060 0.000 0.000
3.729 7.237 0.000
2.622 2.500 9.840
V F
12 26
Direct
0.043 0.082 0.252 V
0.134 0.280 0.502 V
0.217 0.433 0.018 V
0.246 0.486 0.729 V
0.316 0.644 0.248 V
0.422 0.843 0.497 V
0.578 0.157 0.503 V
0.684 0.356 0.752 V
0.754 0.514 0.271 V
0.783 0.567 0.982 V
0.866 0.720 0.498 V
0.957 0.918 0.748 V
0.027 0.722 0.628 F
0.054 0.416 0.895 F
0.105 0.881 0.155 F
0.113 0.557 0.389 F
0.164 0.998 0.609 F
0.177 0.677 0.852 F
0.230 0.185 0.136 F
0.262 0.844 0.363 F
0.314 0.287 0.617 F
0.351 0.480 0.125 F
0.395 0.128 0.402 F
0.442 0.312 0.871 F
0.467 0.566 0.624 F
0.533 0.434 0.376 F
0.558 0.688 0.129 F
0.605 0.872 0.598 F
0.649 0.520 0.875 F
0.686 0.713 0.383 F
0.738 0.156 0.637 F
0.770 0.815 0.864 F
0.823 0.323 0.148 F
0.836 0.002 0.391 F
0.887 0.443 0.611 F
0.895 0.119 0.845 F
0.946 0.584 0.105 F
0.973 0.278 0.372 F
```


No. 2
Theoretical X-ray diffraction stick pattern
Compound: VF4
Radiation: a wavelength of 1.5418 Å
Structure: the PBE+U geometry in Alexandria

Principal peaks in the range 2θ from 10° to 80°, in order of rising 2θ:
d_spacing  Position (°2θ)  intensity
5.308  16.7  100
4.534  19.6  31
3.526  25.3  47
3.374  26.4  19
3.237  27.6  7
3.176  28.1  9
2.635  34.0  10
2.119  42.7  18
2.102  43.0  13
1.763  51.9  8

Structural model:
```
VF4
1.0
5.607 3.237 4.225
-5.607 3.237 4.225
0.000 -6.474 4.225
V F
6 24
Direct
0.051 0.315 0.430 V
0.315 0.430 0.051 V
0.430 0.051 0.315 V
0.570 0.949 0.685 V
0.685 0.570 0.949 V
0.949 0.685 0.570 V
0.023 0.775 0.382 F
0.040 0.818 0.745 F
0.140 0.526 0.581 F
0.182 0.255 0.960 F
0.182 0.449 0.257 F
0.225 0.618 0.977 F
0.255 0.960 0.182 F
0.257 0.182 0.449 F
0.382 0.023 0.775 F
0.419 0.860 0.474 F
0.449 0.257 0.182 F
0.474 0.419 0.860 F
0.526 0.581 0.140 F
0.551 0.743 0.818 F
0.581 0.140 0.526 F
0.618 0.977 0.225 F
0.743 0.818 0.551 F
0.745 0.040 0.818 F
0.775 0.382 0.023 F
0.818 0.551 0.743 F
0.818 0.745 0.040 F
0.860 0.474 0.419 F
0.960 0.182 0.255 F
0.977 0.225 0.618 F
```


No. 3
Theoretical X-ray diffraction stick pattern
Compound: VF4
Radiation: a wavelength of 1.5418 Å
Structure: the PBE+U geometry in Alexandria

Principal peaks in the range 2θ from 10° to 80°, in order of rising 2θ:
d_spacing  Position (°2θ)  intensity
5.167  17.2  69
4.870  18.2  100
3.604  24.7  65
3.589  24.8  50
2.865  31.2  10
2.292  39.3  55
2.235  40.4  33
1.775  51.5  27
1.465  63.5  12
1.380  67.9  10

Structural model:
```
VF4
1.0
4.870 -3.048 0.000
4.870 3.048 0.000
-0.039 0.000 5.010
V F
2 8
Direct
0.160 0.840 0.750 V
0.840 0.160 0.250 V
0.010 0.194 0.931 F
0.194 0.010 0.431 F
0.238 0.528 0.624 F
0.472 0.762 0.876 F
0.528 0.238 0.124 F
0.762 0.472 0.376 F
0.806 0.990 0.569 F
0.990 0.806 0.069 F
```


No. 4
Theoretical X-ray diffraction stick pattern
Compound: V2F13
Radiation: a wavelength of 1.5418 Å
Structure: the PBE+U geometry in Alexandria

Principal peaks in the range 2θ from 10° to 80°, in order of rising 2θ:
d_spacing  Position (°2θ)  intensity
5.917  15.0  54
5.568  15.9  42
4.626  19.2  26
4.259  20.9  82
3.898  22.8  43
3.813  23.3  100
3.494  25.5  37
2.240  40.3  23
2.026  44.7  32
1.984  45.7  25

Structural model:
```
V2F13
1.0
5.339 0.000 0.000
0.832 6.309 0.000
1.761 2.585 6.987
V F
2 13
Direct
0.176 0.124 0.229 V
0.824 0.876 0.771 V
0.000 0.000 0.500 F
0.069 0.888 0.204 F
0.128 0.715 0.814 F
0.218 0.377 0.283 F
0.334 0.234 0.990 F
0.431 0.532 0.578 F
0.460 0.996 0.312 F
0.540 0.004 0.688 F
0.569 0.468 0.422 F
0.666 0.766 0.010 F
0.782 0.623 0.717 F
0.872 0.285 0.186 F
0.931 0.112 0.796 F
```


No. 5
Theoretical X-ray diffraction stick pattern
Compound: V3F10
Radiation: a wavelength of 1.5418 Å
Structure: the PBE+U geometry in Alexandria

Principal peaks in the range 2θ from 10° to 80°, in order of rising 2θ:
d_spacing  Position (°2θ)  intensity
7.341  12.1  30
6.411  13.8  53
4.829  18.4  64
3.872  23.0  100
3.205  27.8  20
3.185  28.0  51
1.945  46.7  24
1.936  46.9  25
1.847  49.3  25
1.667  55.1  19

Structural model:
```
V3F10
1.0
6.411 0.000 0.000
0.000 7.341 0.000
0.000 0.000 7.744
V F
6 20
Direct
0.000 0.005 0.250 V
0.000 0.995 0.750 V
0.500 0.272 0.750 V
0.500 0.275 0.250 V
0.500 0.725 0.750 V
0.500 0.728 0.250 V
0.062 0.000 0.000 F
0.202 0.200 0.287 F
0.202 0.800 0.713 F
0.209 0.196 0.714 F
0.209 0.804 0.286 F
0.329 0.492 0.719 F
0.329 0.508 0.281 F
0.449 0.271 0.992 F
0.449 0.729 0.008 F
0.500 0.002 0.750 F
0.500 0.998 0.250 F
0.551 0.271 0.508 F
0.551 0.729 0.492 F
0.671 0.492 0.781 F
0.671 0.508 0.219 F
0.791 0.196 0.786 F
0.791 0.804 0.214 F
0.798 0.200 0.213 F
0.798 0.800 0.787 F
0.938 0.000 0.500 F
```


No. 6
Theoretical X-ray diffraction stick pattern
Compound: VF4
Radiation: a wavelength of 1.5418 Å
Structure: the PBE+U geometry in Alexandria

Principal peaks in the range 2θ from 10° to 80°, in order of rising 2θ:
d_spacing  Position (°2θ)  intensity
4.739  18.7  100
4.669  19.0  75
4.341  20.5  49
3.565  25.0  75
3.513  25.4  80
2.964  30.2  33
2.676  33.5  21
2.032  44.6  20
1.688  54.3  19
1.674  54.8  40

Structural model:
```
VF4
1.0
10.820 0.000 0.000
0.000 5.521 0.000
0.000 0.000 9.240
V F
8 32
Direct
0.052 0.176 0.000 V
0.195 0.657 0.227 V
0.305 0.157 0.727 V
0.448 0.676 0.500 V
0.552 0.324 0.000 V
0.695 0.843 0.227 V
0.805 0.343 0.727 V
0.948 0.824 0.500 V
0.038 0.671 0.339 F
0.041 0.906 0.901 F
0.080 0.787 0.608 F
0.096 0.506 0.077 F
0.134 0.990 0.151 F
0.181 0.221 0.611 F
0.211 0.269 0.894 F
0.217 0.365 0.300 F
0.283 0.865 0.800 F
0.289 0.769 0.394 F
0.319 0.721 0.111 F
0.366 0.490 0.651 F
0.404 0.006 0.577 F
0.420 0.287 0.108 F
0.459 0.406 0.401 F
0.462 0.171 0.839 F
0.538 0.829 0.339 F
0.541 0.594 0.901 F
0.580 0.713 0.608 F
0.596 0.994 0.077 F
0.634 0.510 0.151 F
0.681 0.279 0.611 F
0.711 0.231 0.894 F
0.717 0.135 0.300 F
0.783 0.635 0.800 F
0.789 0.731 0.394 F
0.819 0.779 0.111 F
0.866 0.010 0.651 F
0.904 0.494 0.577 F
0.920 0.213 0.108 F
0.959 0.094 0.401 F
0.962 0.329 0.839 F
```


No. 7
Theoretical X-ray diffraction stick pattern
Compound: WF6
Radiation: a wavelength of 1.5418 Å
Structure: the PBE+U geometry in Alexandria

Principal peaks in the range 2θ from 10° to 80°, in order of rising 2θ:
d_spacing  Position (°2θ)  intensity
5.010  17.7  44
4.556  19.5  100
3.371  26.4  81
2.329  38.7  33
2.195  41.1  20
2.074  43.6  19
1.814  50.3  22
1.685  54.4  14
1.629  56.5  20
1.419  65.8  14

Structural model:
```
WF6
1.0
5.261 0.000 0.000
-2.630 4.556 0.000
0.000 0.000 5.010
W F
1 6
Direct
0.000 0.000 0.000 W
0.000 0.292 0.783 F
0.000 0.708 0.217 F
0.292 0.000 0.783 F
0.292 0.292 0.217 F
0.708 0.000 0.217 F
0.708 0.708 0.783 F
```